Entry 1:
Diffraction record for Y2AlZn2. The powder diffractogram is theoretical, not measured: it uses a PBE-relaxed structure and copper Kα.
Lines closer than 0.1° are merged.

Atomic structure:
```
Y2AlZn2
1.0
4.400 0.000 0.000
0.000 3.526 0.000
-2.183 0.000 6.958
Y Al Zn
2 1 2
Direct
0.121 0.000 0.239
0.879 0.000 0.761
0.500 0.500 0.000
0.299 0.500 0.600
0.701 0.500 0.400
```

The 10 most intense peaks (15° ≤ 2θ ≤ 90°), sorted by position:
d_spacing, 2θ/deg, intensity
3.145, 28.4, 19
2.699, 33.2, 100
2.476, 36.3, 60
2.367, 38.0, 68
2.352, 38.3, 82
2.200, 41.0, 41
1.763, 51.9, 20
1.411, 66.3, 31
1.376, 68.2, 17
1.348, 69.8, 18

Entry 2:
Diffraction record for Nd2DyGe3Ir4. The powder diffractogram is theoretical, not measured: it uses a PBE-relaxed structure and copper Kα.
Lines closer than 0.1° are merged.

Atomic structure:
```
Nd2DyGe3Ir4
1.0
4.205 0.000 0.000
0.000 4.205 0.000
0.000 0.000 11.256
Nd Dy Ge Ir
2 1 3 4
Direct
0.000 0.500 0.230
0.500 0.000 0.770
0.000 0.000 0.500
0.000 0.500 0.878
0.500 0.000 0.122
0.500 0.500 0.500
0.000 0.000 0.000
0.000 0.500 0.659
0.500 0.000 0.341
0.500 0.500 0.000
```

The 10 most intense peaks (15° ≤ 2θ ≤ 90°), sorted by position:
d_spacing, 2θ/deg, intensity
3.368, 26.5, 13
2.799, 32.0, 21
2.629, 34.1, 100
2.339, 38.5, 13
2.102, 43.0, 50
2.044, 44.3, 26
1.985, 45.7, 20
1.487, 62.5, 16
1.443, 64.6, 14
1.294, 73.1, 22

Entry 3:
Diffraction record for Pm2PrInAu4. The powder diffractogram is theoretical, not measured: it uses a PBE-relaxed structure and copper Kα.
Lines closer than 0.1° are merged.

Atomic structure:
```
Pm2PrInAu4
1.0
2.583 1.491 8.493
-2.583 1.491 8.493
0.000 -2.983 8.493
Pm Pr In Au
2 1 1 4
Direct
0.240 0.240 0.240
0.760 0.760 0.760
0.000 0.000 0.000
0.500 0.500 0.500
0.119 0.119 0.119
0.367 0.367 0.367
0.633 0.633 0.633
0.881 0.881 0.881
```

The 10 most intense peaks (15° ≤ 2θ ≤ 90°), sorted by position:
d_spacing, 2θ/deg, intensity
2.595, 34.6, 88
2.583, 34.7, 100
1.908, 47.7, 10
1.831, 49.8, 32
1.500, 61.8, 11
1.494, 62.2, 33
1.491, 62.3, 19
1.291, 73.3, 12
1.159, 83.4, 9
1.156, 83.6, 15